# Tm4MnTe
Computed powder diffraction line list, Cu Ka. Input: a DFT-relaxed cell (GGA-PBE, Alexandria).
Neutral-atom scattering factors, no anomalous dispersion.

Most intense lines, 2θ = 5–70°, in order of falling intensity:
2θ 30.96, I = 100, (1 1 4)
2θ 34.36, I = 58, (2 1 3)
2θ 31.11, I = 51, (2 1 0)
2θ 43.77, I = 36, (0 2 0)
2θ 32.79, I = 31, (2 0 5)
2θ 33.98, I = 30, (3 0 1)

Crystal structure
```
data_Tm4MnTe
_cell_length_a 7.995
_cell_length_b 4.136
_cell_length_c 18.698
_cell_angle_alpha 90.00
_cell_angle_beta 90.00
_cell_angle_gamma 90.00
_symmetry_space_group_name_H-M 'P n m a'
_symmetry_Int_Tables_number 62
_symmetry_space_group_name_Hall '-P 2ac 2n'
loop_
_atom_site_label
_atom_site_fract_x
_atom_site_fract_y
_atom_site_fract_z
_atom_site_occupancy
Tm1 0.007 0.250 0.065 1
Tm2 0.065 0.750 0.209 1
Tm3 0.122 0.750 0.643 1
Tm4 0.147 0.750 0.454 1
Mn1 0.249 0.250 0.559 1
Te1 0.243 0.750 0.808 1
```